Record 1
The following is a theoretical X-ray diffraction stick pattern of Tb4Y2Pb3O2. It was derived from a structure optimized by DFT (PBE), using Cu Kα (λ = 1.5418 Å).
Neutral-atom scattering factors, no anomalous dispersion.

Peak list (10 most intense, 10 to 80 degrees two-theta, by angle)
| 2θ (°) | Rel. int. | hkl |
| --- | --- | --- |
| 19.24 | 20 | 1 0 1 |
| 25.86 | 20 | 1 0 5 |
| 27.79 | 27 | 1 1 2 |
| 30.41 | 18 | 1 1 4 |
| 34.36 | 100 | 1 1 6 |
| 38.37 | 49 | 2 0 0 |
| 53.18 | 14 | 2 0 10 |
| 55.38 | 17 | 2 2 0 |
| 58.80 | 13 | 2 0 12 |
| 66.82 | 30 | 3 1 6 |

Unit cell a=4.6922 b=4.6922 c=25.3652 alpha=90.00 beta=90.00 gamma=90.00
Space group I4/mmm (No. 139)
Asymmetric unit:
Tb: 0.0000 0.5000 0.0840 (multiplicity 8)
Y: 0.0000 0.0000 0.1931 (multiplicity 4)
Pb: 0.0000 0.0000 0.3197 (multiplicity 4)
Pb: 0.0000 0.0000 0.5000 (multiplicity 2)
O: 0.0000 0.0000 0.0998 (multiplicity 4)

***

Record 2
The following is a theoretical X-ray diffraction stick pattern of Tc4PbO8. It was derived from a structure optimized by DFT (PBE), using Cu Kα (λ = 1.5418 Å).
Neutral-atom scattering factors, no anomalous dispersion.

Peak list (10 most intense, 10 to 80 degrees two-theta, by angle)
| 2θ (°) | Rel. int. | hkl |
| --- | --- | --- |
| 24.12 | 25 | 2 2 0 |
| 27.02 | 100 | 3 1 0 |
| 30.58 | 18 | 1 0 1 |
| 35.19 | 59 | 2 1 1 |
| 38.58 | 22 | 2 4 0 |
| 39.32 | 24 | 3 0 1 |
| 43.12 | 19 | 2 3 1 |
| 46.66 | 29 | 1 4 1 |
| 56.26 | 28 | 5 2 1 |
| 64.88 | 20 | 4 5 1 |

Unit cell a=10.4370 b=10.4370 c=3.0452 alpha=90.00 beta=90.00 gamma=90.00
Space group I4/m (No. 87)
Asymmetric unit:
Tc: 0.1478 0.6682 0.0000 (multiplicity 8)
Pb: 0.0000 0.0000 0.0000 (multiplicity 2)
O: 0.0400 0.3386 0.0000 (multiplicity 8)
O: 0.1530 0.8072 0.5000 (multiplicity 8)